Diffraction record for Li2CuSnAu5. The X-ray powder pattern is computed, not measured: it uses a crystal structure in Alexandria, relaxed with GGA-PBE and Cu Kα X-rays.

Structural model:
```
data_Li2CuSnAu5
_cell_length_a 7.653
_cell_length_b 7.653
_cell_length_c 11.041
_cell_angle_alpha 90.00
_cell_angle_beta 90.00
_cell_angle_gamma 90.00
_space_group_name_H-M_alt 'I 4/m c m'
_space_group_IT_number 140
_space_group_name_Hall '-I 4 2c'
loop_
_atom_site_label
_atom_site_fract_x
_atom_site_fract_y
_atom_site_fract_z
_atom_site_occupancy
Li1 0.108 0.392 0.000 1
Cu1 0.000 0.500 0.250 1
Sn1 0.000 0.000 0.250 1
Au1 0.000 0.000 0.000 1
Au2 0.200 0.300 0.372 1
```

Largest 10 diffraction maxima, most intense first, 10 to 80 degrees two-theta:
40.3°, intensity 100, (2 0 4)
33.1°, intensity 66, (2 2 0)
27.3°, intensity 47, (2 1 1)
35.8°, intensity 30, (2 1 3)
49.8°, intensity 26, (4 1 1)
37.2°, intensity 24, (3 1 0)
55.4°, intensity 22, (4 1 3)
61.4°, intensity 17, (3 3 4)
64.0°, intensity 16, (4 2 4)
71.9°, intensity 14, (5 3 0)

***

Diffraction record for TbY4In2. The X-ray powder pattern is computed, not measured: it uses a crystal structure in Alexandria, relaxed with GGA-PBE and Cu Kα X-rays.

Structural model:
```
data_TbY4In2
_cell_length_a 9.095
_cell_length_b 9.095
_cell_length_c 5.326
_cell_angle_alpha 90.00
_cell_angle_beta 90.00
_cell_angle_gamma 90.00
_space_group_name_H-M_alt 'P 42/m n m'
_space_group_IT_number 136
_space_group_name_Hall '-P 4n 2n'
loop_
_atom_site_label
_atom_site_fract_x
_atom_site_fract_y
_atom_site_fract_z
_atom_site_occupancy
Tb1 0.000 0.000 0.000 1
Y1 0.076 0.331 0.500 1
In1 0.246 0.246 0.000 1
```

Largest 10 diffraction maxima, most intense first, 10 to 80 degrees two-theta:
27.6°, intensity 100, (2 1 1)
35.5°, intensity 92, (3 1 1)
33.7°, intensity 51, (0 0 2)
31.1°, intensity 41, (3 1 0)
46.5°, intensity 27, (3 1 2)
53.2°, intensity 25, (5 0 1)
32.5°, intensity 25, (2 2 1)
75.1°, intensity 23, (6 2 2)
27.7°, intensity 23, (2 2 0)
64.8°, intensity 18, (6 2 0)